The following is a theoretical powder diffractogram of CsTl12Bi4. It was derived from DFT lattice parameters and positions (GGA-PBE), using λ = 1.5418 Å (Cu Kα).
Intensities are scaled so that the largest is 100.

```
data_CsTl12Bi4
_cell_length_a 15.5600
_cell_length_b 15.5600
_cell_length_c 9.4937
_cell_angle_alpha 90.00
_cell_angle_beta 90.00
_cell_angle_gamma 120.00
_space_group_name_H-M_alt 'R -3'
_space_group_IT_number 148
_space_group_name_Hall '-R 3'
loop_
_atom_site_label
_atom_site_fract_x
_atom_site_fract_y
_atom_site_fract_z
Cs1 0.0000 0.0000 0.0000
Tl1 0.0216 0.1885 0.3338
Tl2 0.0483 0.5969 0.8073
Bi1 0.0000 0.0000 0.5000
Bi2 0.0000 0.5000 0.5000
```

Most intense lines, 10 to 90 degrees two-theta, by angle:
(2 0 2), d 3.885, 2θ 22.89, I 13
(1 2 2), d 3.475, 2θ 25.63, I 100
(4 1 0), d 2.937, 2θ 30.44, I 30
(6 -4 1), d 2.457, 2θ 36.57, I 45
(6 -2 2), d 2.245, 2θ 40.17, I 23
(4 3 1), d 2.156, 2θ 41.90, I 40
(3 -1 4), d 2.151, 2θ 42.00, I 11
(6 -4 4), d 1.738, 2θ 52.68, I 11
(8 0 2), d 1.587, 2θ 58.11, I 12
(10 -3 4), d 1.278, 2θ 74.18, I 14